Entry 1:
Tm3TlAu2: calculated powder diffraction line list (Cu Kα (λ = 1.5418 Å)), based on DFT lattice parameters and positions (PBE).
Kinematic intensities with the Lorentz-polarization factor, no thermal factor.

Crystal structure
a = 3.565 Å, b = 3.565 Å, c = 11.237 Å
α = 90.00°, β = 90.00°, γ = 90.00°
Space group P4/mmm (No. 123)
One atom of each set of equivalent atoms:
Tm 0.000 0.000 0.000 (multiplicity 1)
Tm 0.000 0.000 0.313 (multiplicity 2)
Tl 0.500 0.500 0.500 (multiplicity 1)
Au 0.500 0.500 0.162 (multiplicity 2)

Largest 12 diffraction maxima, sorted by position, 5° ≤ 2θ ≤ 70°:
7.87 deg, rel. 1
29.68 deg, rel. 1
34.74 deg, rel. 100
35.61 deg, rel. 49
40.90 deg, rel. 2
48.61 deg, rel. 9
51.24 deg, rel. 18
54.71 deg, rel. 1
61.70 deg, rel. 17
63.40 deg, rel. 36
67.55 deg, rel. 1
69.41 deg, rel. 1

=====

Entry 2:
Tl2Zn12Au7: calculated powder diffraction line list (Cu Kα (λ = 1.5418 Å)), based on DFT lattice parameters and positions (PBE).
Kinematic intensities with the Lorentz-polarization factor, no thermal factor.

Crystal structure
a = 11.2127 Å, b = 11.2127 Å, c = 3.5221 Å
α = 90.00°, β = 90.00°, γ = 120.00°
Space group P-6 (No. 174)
One atom of each set of equivalent atoms:
Tl 0.0000 0.0000 0.0000 (multiplicity 1)
Tl 0.3333 0.6667 0.5000 (multiplicity 1)
Zn 0.0440 0.2795 0.5000 (multiplicity 3)
Zn 0.1328 0.7369 0.0000 (multiplicity 3)
Zn 0.3972 0.1654 0.0000 (multiplicity 3)
Zn 0.5181 0.3997 0.5000 (multiplicity 3)
Au 0.0644 0.4756 0.0000 (multiplicity 3)
Au 0.2428 0.2062 0.5000 (multiplicity 3)
Au 0.6667 0.3333 0.0000 (multiplicity 1)

Largest 12 diffraction maxima, sorted by position, 5° ≤ 2θ ≤ 70°:
24.25 deg, rel. 49
31.38 deg, rel. 50
31.93 deg, rel. 20
35.32 deg, rel. 100
37.75 deg, rel. 21
41.16 deg, rel. 26
42.24 deg, rel. 42
42.67 deg, rel. 86
48.34 deg, rel. 25
51.92 deg, rel. 24
64.04 deg, rel. 19
69.39 deg, rel. 40

=====

Entry 3:
Tl2ZnAu: calculated powder diffraction line list (Cu Kα (λ = 1.5418 Å)), based on DFT lattice parameters and positions (PBE).
Kinematic intensities with the Lorentz-polarization factor, no thermal factor.

Crystal structure
a = 3.338 Å, b = 5.424 Å, c = 10.704 Å
α = 90.00°, β = 90.00°, γ = 90.00°
Space group Imm2 (No. 44)
One atom of each set of equivalent atoms:
Tl 0.000 0.000 0.000 (multiplicity 2)
Tl 0.000 0.500 0.205 (multiplicity 2)
Zn 0.000 0.500 0.761 (multiplicity 2)
Au 0.000 0.000 0.451 (multiplicity 2)

Largest 12 diffraction maxima, sorted by position, 5° ≤ 2θ ≤ 70°:
28.00 deg, rel. 9
29.98 deg, rel. 21
33.03 deg, rel. 34
33.49 deg, rel. 22
35.76 deg, rel. 100
47.75 deg, rel. 16
50.66 deg, rel. 9
55.01 deg, rel. 8
60.78 deg, rel. 22
61.35 deg, rel. 9
61.81 deg, rel. 10
65.68 deg, rel. 10

=====

Entry 4:
Tl4ZnAu5: calculated powder diffraction line list (Cu Kα (λ = 1.5418 Å)), based on DFT lattice parameters and positions (PBE).
Kinematic intensities with the Lorentz-polarization factor, no thermal factor.

Crystal structure
a = 9.546 Å, b = 9.546 Å, c = 5.121 Å
α = 90.00°, β = 90.00°, γ = 90.00°
Space group I4mm (No. 107)
One atom of each set of equivalent atoms:
Tl 0.000 0.306 0.000 (multiplicity 8)
Zn 0.000 0.000 0.283 (multiplicity 2)
Au 0.000 0.000 0.790 (multiplicity 2)
Au 0.185 0.185 0.491 (multiplicity 8)

Largest 12 diffraction maxima, sorted by position, 5° ≤ 2θ ≤ 70°:
27.19 deg, rel. 8
33.14 deg, rel. 100
35.04 deg, rel. 17
38.27 deg, rel. 11
39.95 deg, rel. 12
40.07 deg, rel. 35
51.05 deg, rel. 10
54.28 deg, rel. 16
57.96 deg, rel. 10
61.66 deg, rel. 14
67.96 deg, rel. 10
68.42 deg, rel. 15